# Sr16V8O31
Calculated powder diffraction line list, Cu Kα, 1.54184 Å. Input: a structure optimized by DFT (GGA+U).
Lines closer than 0.1° are merged.

Atomic structure:
```
Sr16V8O31
1.0
6.9115 0.0000 0.0000
0.0637 11.0690 0.0000
2.4764 5.3903 10.1696
Sr V O
16 8 31
Direct
0.0858 0.2635 0.2071
0.0972 0.7858 0.1924
0.1612 0.0999 0.5492
0.1629 0.6038 0.5448
0.3355 0.1433 0.9506
0.3602 0.6616 0.9389
0.4018 0.9721 0.3075
0.4034 0.4676 0.3053
0.5966 0.5324 0.6947
0.5982 0.0279 0.6925
0.6398 0.3384 0.0611
0.6645 0.8567 0.0494
0.8371 0.3962 0.4552
0.8388 0.9001 0.4508
0.9028 0.2142 0.8076
0.9142 0.7365 0.7929
0.1270 0.4339 0.8695
0.1301 0.9390 0.8720
0.3733 0.8132 0.6255
0.3752 0.3122 0.6242
0.6248 0.6878 0.3758
0.6267 0.1868 0.3745
0.8699 0.0610 0.1280
0.8730 0.5661 0.1305
0.0000 0.0000 0.0000
0.0069 0.7402 0.9958
0.1113 0.0177 0.2092
0.1183 0.5144 0.1766
0.1333 0.8526 0.5453
0.1430 0.3584 0.5371
0.2448 0.3803 0.7471
0.2452 0.6252 0.7557
0.2596 0.8781 0.7434
0.2615 0.1363 0.7415
0.3263 0.4102 0.9652
0.3724 0.8977 0.9547
0.3808 0.7176 0.2970
0.3838 0.2281 0.2948
0.4919 0.7466 0.5055
0.5000 0.0000 0.5000
0.5000 0.5000 0.5000
0.5081 0.2534 0.4945
0.6162 0.7719 0.7052
0.6192 0.2824 0.7030
0.6276 0.1023 0.0453
0.6737 0.5898 0.0348
0.7385 0.8637 0.2585
0.7404 0.1219 0.2566
0.7548 0.3748 0.2443
0.7552 0.6197 0.2529
0.8570 0.6416 0.4629
0.8667 0.1474 0.4547
0.8817 0.4856 0.8234
0.8887 0.9823 0.7908
0.9931 0.2598 0.0042
```

Principal peaks in the range 2θ from 10° to 90°, sorted by position:
d/Å  I (rel.)
2.884  95
2.860  100
2.777  71
2.767  70
1.975  39
1.945  38